The following is a theoretical X-ray diffraction stick pattern of Cs2LaBr5. It was derived from a PBE-relaxed structure, using Cu Kα (weighted mean of Kα1 and Kα2).
Lines closer than 0.1° are merged.

The 10 most intense peaks (2θ = 15–90°), sorted by position:
20.3°, intensity 21, hkl 3 0 1; 21.6°, intensity 17, hkl 1 2 1; 25.8°, intensity 30, hkl 4 0 1; 27.4°, intensity 100, hkl 1 2 2; 29.3°, intensity 36, hkl 2 2 2; 30.3°, intensity 16, hkl 4 2 0; 32.9°, intensity 14, hkl 2 1 3; 36.2°, intensity 16, hkl 6 0 0; 36.7°, intensity 29, hkl 5 2 1; 37.1°, intensity 26, hkl 0 4 0

Crystal structure
Cell lengths 14.8978, 9.6965, 9.1912 Å; angles 90.00, 90.00, 90.00 degrees
Element x y z (fractional)
1 Cs 0.1722 0.0060 0.0542
2 Cs 0.1722 0.4940 0.0542
3 Cs 0.3278 0.5060 0.5542
4 Cs 0.3278 0.9940 0.5542
5 Cs 0.6722 0.0060 0.4458
6 Cs 0.6722 0.4940 0.4458
7 Cs 0.8278 0.5060 0.9458
8 Cs 0.8278 0.9940 0.9458
9 La 0.0035 0.2500 0.5682
10 La 0.4965 0.7500 0.0682
11 La 0.5035 0.2500 0.9318
12 La 0.9965 0.7500 0.4318
13 Br 0.0119 0.2500 0.8974
14 Br 0.0709 0.5415 0.6573
15 Br 0.0709 0.9585 0.6573
16 Br 0.1688 0.2500 0.3860
17 Br 0.1919 0.7500 0.3481
18 Br 0.3081 0.2500 0.8481
19 Br 0.3312 0.7500 0.8860
20 Br 0.4291 0.0415 0.1573
21 Br 0.4291 0.4585 0.1573
22 Br 0.4881 0.7500 0.3974
23 Br 0.5119 0.2500 0.6026
24 Br 0.5709 0.5415 0.8427
25 Br 0.5709 0.9585 0.8427
26 Br 0.6688 0.2500 0.1140
27 Br 0.6919 0.7500 0.1519
28 Br 0.8081 0.2500 0.6519
29 Br 0.8312 0.7500 0.6140
30 Br 0.9291 0.0415 0.3427
31 Br 0.9291 0.4585 0.3427
32 Br 0.9881 0.7500 0.1026